ThGa3CuPd: calculated X-ray powder pattern (CuKα), based on a cell relaxed with GGA-PBE.
No peak broadening, texture or thermal motion is included.

Peak list (6 most intense, 2θ = 10–90°, most intense first)
2θ/deg  intensity
41.61  100.0
32.94  83.5
39.80  56.3
32.40  56.0
42.58  55.7
28.79  41.8

Atomic structure:
Cell: 6.831 6.831 6.076 Å, 90.00 90.00 126.00°
Sites, in units of the cell vectors:
Th (0.214, 0.786, 0.750)
Th (0.786, 0.214, 0.250)
Ga (0.210, 0.210, 0.000)
Ga (0.210, 0.210, 0.500)
Ga (0.355, 0.645, 0.250)
Ga (0.645, 0.355, 0.750)
Ga (0.790, 0.790, 0.000)
Ga (0.790, 0.790, 0.500)
Cu (0.439, 0.561, 0.750)
Cu (0.561, 0.439, 0.250)
Pd (0.149, 0.851, 0.250)
Pd (0.851, 0.149, 0.750)